(1)
# Pr3TeH
Computed PXRD pattern, Cu Kα (λ = 1.5418 Å). Input: a PBE-relaxed structure.
Intensities are scaled so that the largest is 100.

Largest 10 diffraction maxima, most intense first, 2θ from 15° to 90°:
two_theta	I (rel.)	(hkl)
30.22	100	0 1 2
27.41	73	1 1 1
33.01	65	2 1 -1
32.04	59	2 1 0
29.24	49	2 0 -2
33.82	40	1 0 3
45.19	31	0 2 0
25.93	27	2 0 1
57.62	26	1 2 3
59.20	24	4 1 -3

Crystal structure
```
data_Pr3TeH
_chemical_formula_sum 'Pr6 Te2 H2'
_symmetry_space_group_name_H-M 'P 1 21/m 1'
_symmetry_Int_Tables_number 11
_symmetry_space_group_name_Hall '-P 2yb'
_cell_length_a 7.8148
_cell_length_b 4.0133
_cell_length_c 8.7921
_cell_angle_alpha 90.00
_cell_angle_beta 95.44
_cell_angle_gamma 90.00
loop_
_atom_site_label
_atom_site_fract_x
_atom_site_fract_y
_atom_site_fract_z
Pr1 0.0652 0.2500 0.3334
Pr2 0.2713 0.2500 0.9415
Pr3 0.3672 0.7500 0.6106
Te1 0.3611 0.7500 0.2213
H1 0.1503 0.2500 0.6318
```

=====

(2)
# LiGa6Cu5
Computed PXRD pattern, Cu Kα (λ = 1.5418 Å). Input: a PBE-relaxed structure.
Intensities are scaled so that the largest is 100.

Largest 10 diffraction maxima, most intense first, 2θ from 15° to 90°:
two_theta	I (rel.)	(hkl)
37.48	100	1 3 -2
44.06	90	1 3 2
40.00	68	2 0 0
44.29	49	1 5 -1
43.59	43	0 2 3
22.36	29	1 1 -1
52.92	27	2 2 -3
46.64	21	0 6 0
47.28	18	1 5 1
73.42	17	3 5 -1

Crystal structure
```
data_LiGa6Cu5
_chemical_formula_sum 'Li2 Ga12 Cu10'
_symmetry_space_group_name_H-M 'C 1 2/m 1'
_symmetry_Int_Tables_number 12
_symmetry_space_group_name_Hall '-C 2y'
_cell_length_a 4.6401
_cell_length_b 11.6844
_cell_length_c 6.8607
_cell_angle_alpha 90.00
_cell_angle_beta 103.70
_cell_angle_gamma 90.00
loop_
_atom_site_label
_atom_site_fract_x
_atom_site_fract_y
_atom_site_fract_z
Li1 0.0000 0.0000 0.0000
Ga1 0.0289 0.1824 0.7081
Ga2 0.0604 0.5000 0.1998
Cu1 0.0000 0.0000 0.5000
Cu2 0.0000 0.3117 0.0000
Cu3 0.0000 0.3834 0.5000
```

=====

(3)
# CsK2PmCl6
Computed PXRD pattern, Cu Kα (λ = 1.5418 Å). Input: a PBE-relaxed structure.
Intensities are scaled so that the largest is 100.

Largest 10 diffraction maxima, most intense first, 2θ from 15° to 90°:
two_theta	I (rel.)	(hkl)
15.68	100	1 1 -1
22.32	85	1 1 -3
21.96	80	1 1 1
38.39	56	0 2 4
31.66	46	2 2 -2
15.53	37	0 0 2
35.69	37	2 2 -4
40.01	34	3 1 -5
21.64	29	0 2 0
39.37	25	3 1 -1

Crystal structure
```
data_CsK2PmCl6
_chemical_formula_sum 'Cs2 K4 Pm2 Cl12'
_symmetry_space_group_name_H-M 'P 1 21/c 1'
_symmetry_Int_Tables_number 14
_symmetry_space_group_name_Hall '-P 2ybc'
_cell_length_a 7.7899
_cell_length_b 8.2152
_cell_length_c 13.6733
_cell_angle_alpha 90.00
_cell_angle_beta 123.43
_cell_angle_gamma 90.00
loop_
_atom_site_label
_atom_site_fract_x
_atom_site_fract_y
_atom_site_fract_z
Cs1 0.0000 0.0000 0.0000
K1 0.2854 0.0772 0.7504
Pm1 0.5000 0.0000 0.5000
Cl1 0.1359 0.0714 0.2918
Cl2 0.3068 0.6748 0.0804
Cl3 0.4387 0.2260 0.0914
```